[1]
The following is a computed X-ray diffraction stick pattern of Cs2Ce2ScS6. It was derived from the GGA-PBE geometry in Alexandria, using CuKα.

Structural model:
```
data_Cs2Ce2ScS6
_symmetry_space_group_name_H-M 'C 1 2/m 1'
_symmetry_Int_Tables_number 12
_symmetry_space_group_name_Hall '-C 2y'
_cell_length_a 7.0431
_cell_length_b 12.1143
_cell_length_c 8.5274
_cell_angle_alpha 90.00
_cell_angle_beta 105.97
_cell_angle_gamma 90.00
loop_
_atom_site_label
_atom_site_fract_x
_atom_site_fract_y
_atom_site_fract_z
Cs1 0.0000 0.1677 0.0000
Ce1 0.0000 0.3337 0.5000
Sc1 0.0000 0.0000 0.5000
S1 0.2173 0.1595 0.6746
S2 0.2439 0.5000 0.6737
```

Most intense lines, 2θ = 5–70°, by intensity:
Position (°2θ), I_rel, h k l
29.3, 100, 1 3 1
38.9, 51, 2 0 2
29.2, 50, 2 0 -2
21.7, 40, 0 0 2
26.5, 35, 1 3 -1
16.2, 33, 1 1 -1
44.6, 33, 3 3 -1
26.3, 30, 2 0 0
10.8, 26, 0 0 1
44.9, 26, 0 6 0

=====

[2]
The following is a computed X-ray diffraction stick pattern of Cs4Ce3TiS8. It was derived from the GGA-PBE geometry in Alexandria, using CuKα.

Structural model:
```
data_Cs4Ce3TiS8
_symmetry_space_group_name_H-M 'P -3 m 1'
_symmetry_Int_Tables_number 164
_symmetry_space_group_name_Hall '-P 3 2"'
_cell_length_a 8.2100
_cell_length_b 8.2100
_cell_length_c 8.2028
_cell_angle_alpha 90.00
_cell_angle_beta 90.00
_cell_angle_gamma 120.00
loop_
_atom_site_label
_atom_site_fract_x
_atom_site_fract_y
_atom_site_fract_z
Cs1 0.0000 0.0000 0.0000
Cs2 0.0000 0.5000 0.0000
Ce1 0.0000 0.5000 0.5000
Ti1 0.0000 0.0000 0.5000
S1 0.1563 0.3127 0.6768
S2 0.3333 0.6667 0.3096
```

Most intense lines, 2θ = 5–70°, by intensity:
Position (°2θ), I_rel, h k l
33.4, 100, 0 2 2
25.0, 65, 2 0 0
51.4, 35, 2 0 4
44.1, 35, 2 2 0
21.7, 28, 0 0 2
56.4, 22, 4 0 2
49.7, 19, 2 2 2
64.2, 11, 2 2 4
27.3, 8, 2 0 1
16.5, 3, 0 1 1

=====

[3]
The following is a computed X-ray diffraction stick pattern of Cs2Ce2TiS6. It was derived from the GGA-PBE geometry in Alexandria, using CuKα.

Structural model:
```
data_Cs2Ce2TiS6
_symmetry_space_group_name_H-M 'C 1 2/m 1'
_symmetry_Int_Tables_number 12
_symmetry_space_group_name_Hall '-C 2y'
_cell_length_a 6.9417
_cell_length_b 11.8625
_cell_length_c 8.5431
_cell_angle_alpha 90.00
_cell_angle_beta 105.93
_cell_angle_gamma 90.00
loop_
_atom_site_label
_atom_site_fract_x
_atom_site_fract_y
_atom_site_fract_z
Cs1 0.0000 0.1696 0.0000
Ce1 0.0000 0.3334 0.5000
Ti1 0.0000 0.0000 0.5000
S1 0.2128 0.1529 0.6744
S2 0.2428 0.0000 0.3269
```

Most intense lines, 2θ = 5–70°, by intensity:
Position (°2θ), I_rel, h k l
29.8, 100, 1 3 1
39.2, 52, 2 0 2
45.4, 51, 3 3 -1
29.5, 50, 2 0 -2
21.6, 43, 0 0 2
26.9, 37, 1 3 -1
16.4, 29, 1 1 -1
10.8, 28, 0 0 1
20.7, 20, 1 1 1
14.9, 19, 0 2 0

=====

[4]
The following is a computed X-ray diffraction stick pattern of Cs3Ce3ScTe8. It was derived from the GGA-PBE geometry in Alexandria, using CuKα.

Structural model:
```
data_Cs3Ce3ScTe8
_symmetry_space_group_name_H-M 'C 1 2/m 1'
_symmetry_Int_Tables_number 12
_symmetry_space_group_name_Hall '-C 2y'
_cell_length_a 15.7574
_cell_length_b 9.0967
_cell_length_c 10.5147
_cell_angle_alpha 90.00
_cell_angle_beta 120.04
_cell_angle_gamma 90.00
loop_
_atom_site_label
_atom_site_fract_x
_atom_site_fract_y
_atom_site_fract_z
Cs1 0.0000 0.0000 0.0000
Cs2 0.2500 0.2500 0.0000
Ce1 0.0000 0.5000 0.5000
Ce2 0.2500 0.2500 0.5000
Sc1 0.0000 0.0000 0.5000
Te1 0.0183 0.2384 0.3168
Te2 0.2202 0.0000 0.6833
Te3 0.2316 0.5000 0.6946
```

Most intense lines, 2θ = 5–70°, by intensity:
Position (°2θ), I_rel, h k l
26.1, 100, 4 0 0
39.6, 42, 0 4 0
34.8, 30, 2 2 2
9.7, 23, 0 0 1
48.1, 19, 4 4 0
64.0, 15, 10 2 -2
32.3, 15, 2 2 -3
43.1, 10, 2 2 3
50.1, 10, 0 0 5
53.7, 9, 8 0 0

=====

[5]
The following is a computed X-ray diffraction stick pattern of CsCe4Se8. It was derived from the GGA-PBE geometry in Alexandria, using CuKα.

Structural model:
```
data_CsCe4Se8
_symmetry_space_group_name_H-M 'P 63/m m c'
_symmetry_Int_Tables_number 194
_symmetry_space_group_name_Hall '-P 6c 2c'
_cell_length_a 8.1696
_cell_length_b 8.1696
_cell_length_c 18.6004
_cell_angle_alpha 90.00
_cell_angle_beta 90.00
_cell_angle_gamma 120.00
loop_
_atom_site_label
_atom_site_fract_x
_atom_site_fract_y
_atom_site_fract_z
Cs1 0.0000 0.0000 0.0000
Ce1 0.0000 0.0000 0.2500
Ce2 0.0018 0.5009 0.2500
Se1 0.1664 0.3327 0.6579
Se2 0.3333 0.6667 0.1579
```

Most intense lines, 2θ = 5–70°, by intensity:
Position (°2θ), I_rel, h k l
9.5, 100, 0 0 2
31.8, 63, 2 0 4
25.6, 29, 2 0 1
44.4, 27, 2 2 0
38.6, 24, 2 0 6
35.0, 19, 2 0 5
46.8, 13, 2 0 8
45.5, 13, 2 2 2
55.6, 13, 4 0 4
60.3, 11, 4 0 6

=====

[6]
The following is a computed X-ray diffraction stick pattern of Cs2CeZn2Se4. It was derived from the GGA-PBE geometry in Alexandria, using CuKα.

Structural model:
```
data_Cs2CeZn2Se4
_symmetry_space_group_name_H-M 'C 1 2/m 1'
_symmetry_Int_Tables_number 12
_symmetry_space_group_name_Hall '-C 2y'
_cell_length_a 15.9562
_cell_length_b 4.4994
_cell_length_c 8.4581
_cell_angle_alpha 90.00
_cell_angle_beta 108.67
_cell_angle_gamma 90.00
loop_
_atom_site_label
_atom_site_fract_x
_atom_site_fract_y
_atom_site_fract_z
Cs1 0.1340 0.0000 0.0598
Ce1 0.0000 0.0000 0.5000
Zn1 0.1716 0.5000 0.4915
Se1 0.0215 0.5000 0.2720
Se2 0.2018 0.0000 0.6487
```

Most intense lines, 2θ = 5–70°, by intensity:
Position (°2θ), I_rel, h k l
29.0, 100, 1 1 -2
31.0, 43, 3 1 1
26.5, 43, 3 1 -1
40.1, 38, 0 2 0
47.8, 37, 3 1 3
29.2, 36, 4 0 1
26.7, 30, 4 0 -2
11.0, 29, 0 0 1
34.5, 28, 5 1 -1
30.9, 23, 3 1 -2